No. 1
For Y2Er2Lu3Ni2Te2, a structure optimized by DFT (PBE) gives the computed PXRD pattern in this record (Cu Kα (λ = 1.5418 Å)).

Main lines, by intensity (2θ = 5–70°):
(hkl)	two_theta	I (rel.)
1 4 1	34.4	100
0 6 0	34.9	89
0 3 3	33.3	79
1 1 2	30.6	50
2 0 0	47.6	34
2 3 3	59.3	30
0 5 1	30.5	26
1 0 1	25.1	22
1 0 3	36.9	20
1 2 3	38.8	18
1 6 5	66.0	17
0 1 3	28.9	16

Crystal structure
```
data_Y2Er2Lu3Ni2Te2
_chemical_formula_sum 'Y4 Er4 Lu6 Ni4 Te4'
_symmetry_space_group_name_H-M 'I m m 2'
_symmetry_Int_Tables_number 44
_cell_length_a 3.821
_cell_length_b 15.431
_cell_length_c 9.468
_cell_angle_alpha 90.00
_cell_angle_beta 90.00
_cell_angle_gamma 90.00
loop_
_symmetry_equiv_pos_as_xyz
'x,y,z'
'-x,-y,z'
'-x,y,z'
'x,-y,z'
'x+1/2,y+1/2,z+1/2'
'-x+1/2,-y+1/2,z+1/2'
'-x+1/2,y+1/2,z+1/2'
'x+1/2,-y+1/2,z+1/2'
loop_
_atom_site_label
_atom_site_type_symbol
_atom_site_fract_x
_atom_site_fract_y
_atom_site_fract_z
Y1 Y 0.000 0.146 0.000
Er1 Er 0.000 0.184 0.352
Lu1 Lu 0.000 0.366 0.148
Lu2 Lu 0.000 0.500 0.731
Ni1 Ni 0.000 0.259 0.661
Te1 Te 0.000 0.000 0.498
Te2 Te 0.000 0.500 0.391
```

=====

No. 2
For Y2ErLu4Ni2Te2, a structure optimized by DFT (PBE) gives the computed PXRD pattern in this record (Cu Kα (λ = 1.5418 Å)).

Main lines, by intensity (2θ = 5–70°):
(hkl)	two_theta	I (rel.)
1 4 1	34.4	100
0 3 3	33.5	82
0 5 1	30.7	77
1 3 2	34.9	72
2 3 3	59.4	37
2 0 0	47.5	31
1 0 1	25.1	25
0 6 0	35.1	24
1 0 3	37.0	21
1 2 3	38.9	19
1 6 5	66.3	19
0 1 3	29.0	16

Crystal structure
```
data_Y2ErLu4Ni2Te2
_chemical_formula_sum 'Y4 Er2 Lu8 Ni4 Te4'
_symmetry_space_group_name_H-M 'I m m 2'
_symmetry_Int_Tables_number 44
_cell_length_a 3.827
_cell_length_b 15.346
_cell_length_c 9.416
_cell_angle_alpha 90.00
_cell_angle_beta 90.00
_cell_angle_gamma 90.00
loop_
_symmetry_equiv_pos_as_xyz
'x,y,z'
'-x,-y,z'
'-x,y,z'
'x,-y,z'
'x+1/2,y+1/2,z+1/2'
'-x+1/2,-y+1/2,z+1/2'
'-x+1/2,y+1/2,z+1/2'
'x+1/2,-y+1/2,z+1/2'
loop_
_atom_site_label
_atom_site_type_symbol
_atom_site_fract_x
_atom_site_fract_y
_atom_site_fract_z
Y1 Y 0.000 0.148 0.000
Er1 Er 0.000 0.500 0.733
Lu1 Lu 0.000 0.185 0.353
Lu2 Lu 0.000 0.365 0.149
Ni1 Ni 0.000 0.259 0.664
Te1 Te 0.000 0.000 0.499
Te2 Te 0.000 0.500 0.392
```

=====

No. 3
For Y2Er2Lu3Ni2Te2, a structure optimized by DFT (PBE) gives the computed PXRD pattern in this record (Cu Kα (λ = 1.5418 Å)).

Main lines, by intensity (2θ = 5–70°):
(hkl)	two_theta	I (rel.)
1 4 1	34.3	100
0 3 3	33.1	62
1 1 2	30.5	50
0 6 0	34.8	49
2 3 3	59.2	30
1 7 2	51.5	25
2 0 0	47.6	24
1 1 4	45.2	15
0 1 3	28.7	14
1 0 3	36.8	14
0 5 1	30.4	13
1 2 3	38.6	12

Crystal structure
```
data_Y2Er2Lu3Ni2Te2
_chemical_formula_sum 'Y4 Er4 Lu6 Ni4 Te4'
_symmetry_space_group_name_H-M 'I m m 2'
_symmetry_Int_Tables_number 44
_cell_length_a 3.823
_cell_length_b 15.467
_cell_length_c 9.531
_cell_angle_alpha 90.00
_cell_angle_beta 90.00
_cell_angle_gamma 90.00
loop_
_symmetry_equiv_pos_as_xyz
'x,y,z'
'-x,-y,z'
'-x,y,z'
'x,-y,z'
'x+1/2,y+1/2,z+1/2'
'-x+1/2,-y+1/2,z+1/2'
'-x+1/2,y+1/2,z+1/2'
'x+1/2,-y+1/2,z+1/2'
loop_
_atom_site_label
_atom_site_type_symbol
_atom_site_fract_x
_atom_site_fract_y
_atom_site_fract_z
Y1 Y 0.000 0.184 0.000
Er1 Er 0.000 0.146 0.649
Lu1 Lu 0.000 0.367 0.796
Lu2 Lu 0.000 0.500 0.377
Ni1 Ni 0.000 0.260 0.304
Te1 Te 0.000 0.000 0.145
Te2 Te 0.000 0.500 0.039
```

=====

No. 4
For Y2Er2Lu3Ni2Te2, a structure optimized by DFT (PBE) gives the computed PXRD pattern in this record (Cu Kα (λ = 1.5418 Å)).

Main lines, by intensity (2θ = 5–70°):
(hkl)	two_theta	I (rel.)
1 4 1	34.4	100
0 3 3	33.1	62
1 1 2	30.6	50
0 6 0	34.8	46
1 7 2	51.6	26
2 3 3	59.3	25
2 0 0	47.8	23
1 1 4	45.2	15
1 0 3	36.8	15
0 5 1	30.4	13
1 2 3	38.7	13
0 1 3	28.6	13

Crystal structure
```
data_Y2Er2Lu3Ni2Te2
_chemical_formula_sum 'Y4 Er4 Lu6 Ni4 Te4'
_symmetry_space_group_name_H-M 'I m m 2'
_symmetry_Int_Tables_number 44
_cell_length_a 3.808
_cell_length_b 15.433
_cell_length_c 9.545
_cell_angle_alpha 90.00
_cell_angle_beta 90.00
_cell_angle_gamma 90.00
loop_
_symmetry_equiv_pos_as_xyz
'x,y,z'
'-x,-y,z'
'-x,y,z'
'x,-y,z'
'x+1/2,y+1/2,z+1/2'
'-x+1/2,-y+1/2,z+1/2'
'-x+1/2,y+1/2,z+1/2'
'x+1/2,-y+1/2,z+1/2'
loop_
_atom_site_label
_atom_site_type_symbol
_atom_site_fract_x
_atom_site_fract_y
_atom_site_fract_z
Y1 Y 0.000 0.185 0.000
Er1 Er 0.000 0.367 0.797
Lu1 Lu 0.000 0.146 0.651
Lu2 Lu 0.000 0.500 0.376
Ni1 Ni 0.000 0.263 0.302
Te1 Te 0.000 0.000 0.143
Te2 Te 0.000 0.500 0.042
```